# Mg14CrNi
Calculated powder diffraction line list, Cu Kα X-rays. Input: a PBE-relaxed structure.
No peak broadening, texture or thermal motion is included.

The 6 most intense peaks (15 to 90 degrees two-theta), in order of falling intensity:
| 2θ (°) | I_rel |
| --- | --- |
| 37.97 | 100 |
| 33.23 | 26 |
| 36.17 | 25 |
| 71.53 | 18 |
| 66.24 | 17 |
| 59.37 | 17 |

Cell and atoms:
```
16
Lattice="6.2269 0.0000 0.0000 -3.1135 5.3927 0.0000 0.0000 0.0000 9.9347" Properties=species:S:1:pos:R:3 pbc="T T T"
Mg 0.0000 0.0000 2.4685
Mg 0.0000 0.0000 7.4661
Mg -1.4913 2.7341 2.5415
Mg -1.4913 2.7341 7.3932
Mg 1.5496 0.8947 4.9673
Mg 1.5691 0.9059 0.0000
Mg 1.4913 2.7341 2.5415
Mg 1.4913 2.7341 7.3932
Mg 0.0000 5.3172 2.5415
Mg 0.0000 5.3172 7.3932
Mg 4.6578 0.9059 0.0000
Mg 3.1135 3.5808 0.0000
Mg 4.6773 0.8947 4.9673
Mg 3.1135 3.6033 4.9673
Cr 0.0000 3.5951 0.0000
Ni 0.0000 3.5951 4.9673
```


# NaLuS2
Calculated powder diffraction line list, Cu Kα X-rays. Input: a PBE-relaxed structure.
No peak broadening, texture or thermal motion is included.

The 6 most intense peaks (15 to 90 degrees two-theta), in order of falling intensity:
| 2θ (°) | I_rel |
| --- | --- |
| 32.01 | 100 |
| 26.75 | 48 |
| 45.26 | 36 |
| 46.54 | 35 |
| 27.88 | 34 |
| 48.64 | 23 |

Cell and atoms:
```
4
Lattice="1.9513 1.1266 6.6332 -1.9513 1.1266 6.6332 0.0000 -2.2532 6.6332" Properties=species:S:1:pos:R:3 pbc="T T T"
Na 0.0000 0.0000 0.0000
Lu 0.0000 0.0000 9.9498
S 0.0000 0.0000 4.8042
S 0.0000 0.0000 15.0954
```


# La2Ga9Ru3
Calculated powder diffraction line list, Cu Kα X-rays. Input: a PBE-relaxed structure.
No peak broadening, texture or thermal motion is included.

The 6 most intense peaks (15 to 90 degrees two-theta), in order of falling intensity:
| 2θ (°) | I_rel |
| --- | --- |
| 35.88 | 100 |
| 40.87 | 85 |
| 35.73 | 56 |
| 41.28 | 41 |
| 36.01 | 38 |
| 55.59 | 19 |

Cell and atoms:
```
28
Lattice="6.5610 -3.8371 0.0000 6.5610 3.8371 0.0000 0.0000 0.0000 9.9769" Properties=species:S:1:pos:R:3 pbc="T T T"
La 4.4104 2.5565 7.4827
La 8.7116 2.5565 7.4827
La 4.4104 -2.5565 2.4942
La 8.7116 -2.5565 2.4942
Ga 4.4172 2.5185 0.7133
Ga 4.4172 2.5185 4.2752
Ga 6.5610 2.8377 2.4942
Ga 8.7048 2.5185 0.7133
Ga 8.7048 2.5185 4.2752
Ga 5.2048 0.4658 2.4942
Ga 6.5610 1.2340 5.5209
Ga 6.5610 1.2340 9.4444
Ga 5.2048 -0.4658 7.4827
Ga 7.9172 0.4658 2.4942
Ga 6.5610 -1.2340 0.5325
Ga 6.5610 -1.2340 4.4560
Ga 7.9172 -0.4658 7.4827
Ga 4.4172 -2.5185 5.7017
Ga 4.4172 -2.5185 9.2636
Ga 6.5610 -2.8377 7.4827
Ga 8.7048 -2.5185 5.7017
Ga 8.7048 -2.5185 9.2636
Ru 0.0000 0.0000 0.0000
Ru 0.0000 0.0000 4.9884
Ru 4.2961 0.0000 0.0000
Ru 4.2961 0.0000 4.9884
Ru 8.8260 0.0000 0.0000
Ru 8.8260 0.0000 4.9884
```


> Number 3 is which compound?

La2Ga9Ru3